# 1
For AcSmYHo, DFT lattice parameters and positions (PBE) gives the computed XRD peak list in this record (Cu Ka).
Peak positions follow from Bragg's law for the DFT cell and can differ from measured ones.

Cell and atoms:
a = 3.5264 Å, b = 5.7832 Å, c = 7.0166 Å
α = 90.00°, β = 90.00°, γ = 90.00°
Atoms (fractional coordinates):
Ac 0.0000 0.0000 0.0000
Sm 0.0000 0.5000 0.2826
Y 0.0000 0.0000 0.5166
Ho 0.5000 0.5000 0.7428

Most intense lines, 15° ≤ 2θ ≤ 90°, by angle:
2θ 28.32, I = 307; 2θ 29.67, I = 283; 2θ 29.79, I = 1000; 2θ 30.92, I = 471; 2θ 32.36, I = 537; 2θ 60.95, I = 265



# 2
For ErGeS3, DFT lattice parameters and positions (PBE) gives the computed XRD peak list in this record (Cu Ka).
Peak positions follow from Bragg's law for the DFT cell and can differ from measured ones.

Cell and atoms:
a = 6.9794 Å, b = 6.4529 Å, c = 10.5479 Å
α = 90.00°, β = 90.00°, γ = 90.00°
Atoms (fractional coordinates):
Er 0.1170 0.0739 0.0000
Er 0.3830 0.5739 0.5000
Er 0.6170 0.4261 0.0000
Er 0.8830 0.9261 0.5000
Ge 0.0921 0.5479 0.1592
Ge 0.4079 0.0479 0.6592
Ge 0.5921 0.9521 0.1592
Ge 0.9079 0.4521 0.6592
S 0.1233 0.7318 0.3416
S 0.1385 0.2451 0.5399
S 0.1384 0.7526 0.6673
S 0.3616 0.2526 0.1673
S 0.3615 0.7451 0.0399
S 0.3767 0.2318 0.8416
S 0.6233 0.7682 0.3416
S 0.6385 0.2549 0.5399
S 0.6384 0.7474 0.6673
S 0.8616 0.2474 0.1673
S 0.8615 0.7549 0.0399
S 0.8767 0.2682 0.8416

Most intense lines, 15° ≤ 2θ ≤ 90°, by angle:
2θ 16.81, I = 758; 2θ 20.55, I = 574; 2θ 25.27, I = 1000; 2θ 31.70, I = 856; 2θ 33.79, I = 442; 2θ 38.96, I = 621



# 3
For Ho3Al5Co, DFT lattice parameters and positions (PBE) gives the computed XRD peak list in this record (Cu Ka).
Peak positions follow from Bragg's law for the DFT cell and can differ from measured ones.

Cell and atoms:
a = 6.9252 Å, b = 6.9252 Å, c = 4.3138 Å
α = 90.00°, β = 90.00°, γ = 120.00°
Atoms (fractional coordinates):
Ho 0.0000 0.3997 0.0000
Ho 0.3997 0.0000 0.0000
Ho 0.6003 0.6003 0.0000
Al 0.0000 0.7732 0.5000
Al 0.2268 0.2268 0.5000
Al 0.3333 0.6667 0.5000
Al 0.6667 0.3333 0.5000
Al 0.7732 0.0000 0.5000
Co 0.0000 0.0000 0.0000

Most intense lines, 15° ≤ 2θ ≤ 90°, by angle:
2θ 20.59, I = 485; 2θ 25.73, I = 520; 2θ 29.79, I = 260; 2θ 33.18, I = 1000; 2θ 36.49, I = 579; 2θ 59.57, I = 301



# 4
For RbNaMg6, DFT lattice parameters and positions (PBE) gives the computed XRD peak list in this record (Cu Ka).
Peak positions follow from Bragg's law for the DFT cell and can differ from measured ones.

Cell and atoms:
a = 5.3738 Å, b = 7.1416 Å, c = 7.1416 Å
α = 58.84°, β = 90.00°, γ = 90.00°
Atoms (fractional coordinates):
Rb 0.0000 0.0000 0.0000
Na 0.5000 0.1562 0.1562
Mg 0.0000 0.4496 0.4496
Mg 0.0000 0.5187 0.9567
Mg 0.0000 0.9567 0.5187
Mg 0.5000 0.1423 0.6108
Mg 0.5000 0.6108 0.1423
Mg 0.5000 0.6222 0.6222

Most intense lines, 15° ≤ 2θ ≤ 90°, by angle:
2θ 22.03, I = 307; 2θ 29.23, I = 414; 2θ 33.31, I = 1000; 2θ 33.74, I = 869; 2θ 44.92, I = 245; 2θ 63.30, I = 249